Entry 1:
Starting from the GGA+U geometry in the Materials Project, the XRD peak list of Na5Ni2PC4O16 was calculated for copper Kα.

Top 6 peaks for 2θ = 10–90°, sorted by position:
| 2θ (°) | Rel. int. | h k l |
| --- | --- | --- |
| 10.97 | 88 | 1 1 1 |
| 20.95 | 67 | 1 1 3 |
| 21.17 | 100 | 1 3 1 |
| 33.04 | 40 | 1 1 5 |
| 33.48 | 94 | 1 5 1 |
| 36.30 | 70 | 4 0 4 |

Crystal structure
Cell lengths 13.897, 13.908, 14.102 Å; angles 90.00, 90.00, 90.00 degrees
Space group Fdd2 (No. 43)
Inequivalent atoms, fractional coordinates:
Na1 0.000 0.000 0.000 x8
Na2 0.006 0.214 0.787 x16
Na3 0.036 0.256 0.038 x16
Ni1 0.125 0.125 0.410 x16
P1 0.000 0.000 0.789 x8
C1 0.091 0.409 0.875 x16
C2 0.092 0.092 0.194 x16
O1 0.022 0.105 0.134 x16
O2 0.022 0.395 0.935 x16
O3 0.065 0.065 0.852 x16
O4 0.065 0.436 0.225 x16
O5 0.098 0.228 0.640 x16
O6 0.098 0.272 0.431 x16
O7 0.100 0.353 0.803 x16
O8 0.104 0.151 0.265 x16



Entry 2:
Starting from the GGA+U geometry in the Materials Project, the XRD peak list of Be3Fe4Si3SeO12 was calculated for copper Kα.

Top 6 peaks for 2θ = 10–90°, sorted by position:
| 2θ (°) | Rel. int. | h k l |
| --- | --- | --- |
| 26.09 | 100 | 2 1 1 |
| 40.34 | 32 | 3 2 1 |
| 46.03 | 53 | 3 3 0 |
| 67.14 | 12 | 6 0 0 |
| 69.24 | 15 | 5 3 2 |
| 85.25 | 12 | 6 3 3 |

Crystal structure
Cell lengths 8.365, 8.365, 8.365 Å; angles 90.00, 90.00, 90.00 degrees
Space group P-43n (No. 218)
Inequivalent atoms, fractional coordinates:
Be1 0.000 0.250 0.500 x6
Fe1 0.175 0.175 0.175 x8
Si1 0.000 0.500 0.250 x6
Se1 0.000 0.000 0.000 x2
O1 0.086 0.360 0.644 x24



Entry 3:
Starting from the GGA+U geometry in the Materials Project, the XRD peak list of VO2F was calculated for copper Kα.

Top 6 peaks for 2θ = 10–90°, sorted by position:
| 2θ (°) | Rel. int. | h k l |
| --- | --- | --- |
| 23.88 | 100 | 0 1 2 |
| 23.99 | 99 | 1 0 2 |
| 25.19 | 95 | 1 1 -2 |
| 48.88 | 21 | 0 2 4 |
| 49.13 | 17 | 2 0 4 |
| 54.98 | 19 | 2 1 6 |

Crystal structure
Cell lengths 5.054, 5.062, 12.997 Å; angles 87.85, 88.13, 62.10 degrees
Space group P-1 (No. 2)
Inequivalent atoms, fractional coordinates:
V1 0.000 0.000 0.000 x1
V2 0.000 0.000 0.500 x1
V3 0.261 0.374 0.336 x2
V4 0.378 0.297 0.835 x2
O1 0.004 0.416 0.250 x2
O2 0.070 0.674 0.416 x2
O3 0.082 0.244 0.919 x2
O4 0.254 0.079 0.419 x2
O5 0.339 0.925 0.082 x2
O6 0.431 0.583 0.249 x2
F1 0.262 0.667 0.916 x2
F2 0.323 0.740 0.584 x2
F3 0.401 0.994 0.750 x2



Entry 4:
Starting from the GGA+U geometry in the Materials Project, the XRD peak list of Sr2YTlCr2O7 was calculated for copper Kα.

Top 6 peaks for 2θ = 10–90°, sorted by position:
| 2θ (°) | Rel. int. | h k l |
| --- | --- | --- |
| 23.94 | 17 | 1 0 1 |
| 31.16 | 100 | 1 0 3 |
| 32.59 | 54 | 1 1 0 |
| 46.76 | 29 | 2 0 0 |
| 54.53 | 21 | 1 1 6 |
| 57.27 | 36 | 2 1 3 |

Crystal structure
Cell lengths 3.885, 3.885, 12.773 Å; angles 90.00, 90.00, 90.00 degrees
Space group P4/mmm (No. 123)
Inequivalent atoms, fractional coordinates:
Sr1 0.000 0.000 0.191 x2
Y1 0.000 0.000 0.500 x1
Tl1 0.500 0.500 0.000 x1
Cr1 0.500 0.500 0.356 x2
O1 0.000 0.000 0.000 x1
O2 0.000 0.500 0.389 x4
O3 0.500 0.500 0.206 x2



Entry 5:
Starting from the GGA+U geometry in the Materials Project, the XRD peak list of LiCrP2O8 was calculated for copper Kα.

Top 6 peaks for 2θ = 10–90°, sorted by position:
| 2θ (°) | Rel. int. | h k l |
| --- | --- | --- |
| 11.67 | 40 | 0 1 1 |
| 12.67 | 36 | 0 0 2 |
| 16.05 | 100 | 0 1 2 |
| 23.47 | 33 | 0 2 2 |
| 24.06 | 50 | 1 1 -2 |
| 27.80 | 57 | 1 2 -1 |

Crystal structure
Cell lengths 4.709, 9.024, 14.020 Å; angles 90.00, 94.79, 90.00 degrees
Space group P2_1/c (No. 14)
Inequivalent atoms, fractional coordinates:
Li1 0.043 0.156 0.128 x4
Cr1 0.141 0.067 0.349 x4
P1 0.345 0.099 0.763 x4
P2 0.357 0.724 0.569 x4
O1 0.022 0.561 0.913 x4
O2 0.083 0.505 0.270 x4
O3 0.147 0.710 0.135 x4
O4 0.238 0.663 0.475 x4
O5 0.265 0.240 0.243 x4
O6 0.386 0.170 0.441 x4
O7 0.462 0.541 0.811 x4
O8 0.491 0.585 0.632 x4



Entry 6:
Starting from the GGA+U geometry in the Materials Project, the XRD peak list of AlWO3 was calculated for copper Kα.

Top 6 peaks for 2θ = 10–90°, sorted by position:
| 2θ (°) | Rel. int. | h k l |
| --- | --- | --- |
| 14.50 | 79 | 0 0 2 |
| 29.24 | 33 | 0 0 4 |
| 31.53 | 100 | 1 0 1 |
| 37.94 | 35 | 1 0 3 |
| 48.61 | 33 | 1 0 5 |
| 54.48 | 23 | 1 1 0 |

Crystal structure
Cell lengths 3.3688, 3.3688, 12.2167 Å; angles 90.00, 90.00, 120.00 degrees
Space group P6_3/mmc (No. 194)
Inequivalent atoms, fractional coordinates:
Al1 0.0000 0.0000 0.0000 x2
W1 0.3333 0.6667 0.2500 x2
O1 0.0000 0.0000 0.2500 x2
O2 0.3333 0.6667 0.0715 x4



Entry 7:
Starting from the GGA+U geometry in the Materials Project, the XRD peak list of La2MnP2O was calculated for copper Kα.

Top 6 peaks for 2θ = 10–90°, sorted by position:
| 2θ (°) | Rel. int. | h k l |
| --- | --- | --- |
| 12.18 | 100 | 1 0 0 |
| 17.26 | 46 | 1 1 0 |
| 22.41 | 16 | 1 0 3 |
| 24.51 | 19 | 2 0 0 |
| 27.45 | 29 | 2 1 0 |
| 33.45 | 12 | 2 1 3 |

Crystal structure
Cell lengths 7.264, 7.264, 14.204 Å; angles 90.00, 90.00, 90.00 degrees
Space group P4/mmm (No. 123)
Inequivalent atoms, fractional coordinates:
La1 0.000 0.000 0.154 x2
Mn1 0.000 0.000 0.500 x1
P1 0.000 0.000 0.334 x2
O1 0.000 0.000 0.000 x1



Entry 8:
Starting from the GGA+U geometry in the Materials Project, the XRD peak list of Li9Mn7O16 was calculated for copper Kα.

Top 6 peaks for 2θ = 10–90°, sorted by position:
| 2θ (°) | Rel. int. | h k l |
| --- | --- | --- |
| 18.36 | 100 | 0 0 2 |
| 33.77 | 18 | 4 0 -2 |
| 36.27 | 23 | 2 2 0 |
| 40.57 | 34 | 4 0 -4 |
| 44.38 | 53 | 2 2 2 |
| 61.37 | 16 | 6 2 -2 |

Crystal structure
Cell lengths 10.685, 5.745, 10.558 Å; angles 90.00, 113.77, 90.00 degrees
Space group C2/m (No. 12)
Inequivalent atoms, fractional coordinates:
Li1 0.000 0.000 0.000 x2
Li2 0.001 0.244 0.750 x8
Li3 0.243 0.000 0.240 x4
Li4 0.249 0.000 0.757 x4
Mn1 0.000 0.000 0.500 x2
Mn2 0.000 0.500 0.000 x2
Mn3 0.000 0.500 0.500 x2
Mn4 0.250 0.250 0.000 x4
Mn5 0.250 0.250 0.500 x4
O1 0.111 0.250 0.617 x8
O2 0.133 0.261 0.103 x8
O3 0.137 0.000 0.886 x4
O4 0.139 0.000 0.379 x4
O5 0.139 0.500 0.380 x4
O6 0.140 0.500 0.882 x4